Record 1
YSc2Al2: computed powder X-ray diffraction pattern (a wavelength of 1.5418 Å), based on the GGA-PBE geometry in Alexandria.
Peak positions follow from Bragg's law for the DFT cell and can differ from measured ones.

Structure:
```
YSc2Al2
1.0
3.473 0.000 0.000
0.000 4.980 0.000
-1.737 0.000 12.741
Y Sc Al
2 4 4
direct
0.146 0.250 0.293
0.854 0.750 0.707
0.049 0.750 0.097
0.236 0.750 0.472
0.764 0.250 0.528
0.951 0.250 0.903
0.357 0.250 0.713
0.455 0.750 0.910
0.545 0.250 0.090
0.643 0.750 0.287
```

Peak list (10 most intense, 2θ = 5–70°, by angle)
2theta	d/Å	intensity
19.13	4.638	6
25.89	3.442	6
27.60	3.232	10
35.22	2.548	18
36.11	2.487	100
51.30	1.781	12
52.71	1.737	7
63.80	1.459	11
64.92	1.436	19
65.53	1.424	7



Record 2
Sc2Al3Zn3: computed powder X-ray diffraction pattern (a wavelength of 1.5418 Å), based on the GGA-PBE geometry in Alexandria.
Peak positions follow from Bragg's law for the DFT cell and can differ from measured ones.

Structure:
```
Sc2Al3Zn3
1.0
4.075 0.000 0.000
0.000 4.102 0.000
0.000 0.000 8.136
Sc Al Zn
2 3 3
direct
0.000 0.000 0.250
0.000 0.000 0.750
0.000 0.500 0.000
0.500 0.000 0.000
0.500 0.000 0.500
0.000 0.500 0.500
0.500 0.500 0.250
0.500 0.500 0.750
```

Peak list (10 most intense, 2θ = 5–70°, by angle)
2theta	d/Å	intensity
10.87	8.136	6
21.67	4.102	6
21.85	4.068	5
31.06	2.879	6
38.19	2.356	100
44.16	2.051	16
44.50	2.036	32
50.03	1.823	4
64.50	1.445	20
64.76	1.440	10



Record 3
Sc3AlZn3: computed powder X-ray diffraction pattern (a wavelength of 1.5418 Å), based on the GGA-PBE geometry in Alexandria.
Peak positions follow from Bragg's law for the DFT cell and can differ from measured ones.

Structure:
```
Sc3AlZn3
1.0
-1.633 2.176 9.251
1.633 -2.176 9.251
1.633 2.176 -9.251
Sc Al Zn
3 1 3
direct
0.000 0.000 0.000
0.398 0.398 0.000
0.696 0.196 0.500
0.266 0.766 0.500
0.129 0.629 0.500
0.555 0.555 0.000
0.841 0.841 0.000
```

Peak list (10 most intense, 2θ = 5–70°, by angle)
2theta	d/Å	intensity
19.19	4.626	18
27.73	3.217	24
35.71	2.514	100
36.70	2.449	49
39.62	2.275	31
39.91	2.259	98
41.51	2.176	49
45.51	1.993	29
56.33	1.633	19
56.59	1.626	25



Record 4
Sc3AlZn4: computed powder X-ray diffraction pattern (a wavelength of 1.5418 Å), based on the GGA-PBE geometry in Alexandria.
Peak positions follow from Bragg's law for the DFT cell and can differ from measured ones.

Structure:
```
Sc3AlZn4
1.0
-1.554 2.771 8.911
1.554 -2.771 8.911
1.554 2.771 -8.911
Sc Al Zn
3 1 4
direct
0.000 0.000 0.000
0.264 0.764 0.500
0.736 0.236 0.500
0.500 0.500 0.000
0.117 0.377 0.740
0.363 0.623 0.740
0.637 0.377 0.260
0.883 0.623 0.260
```

Peak list (10 most intense, 2θ = 5–70°, by angle)
2theta	d/Å	intensity
19.93	4.456	21
29.17	3.061	35
32.52	2.754	29
34.59	2.593	35
38.25	2.353	100
38.43	2.342	37
40.49	2.228	40
44.08	2.054	36
46.49	1.953	23
65.23	1.430	18



Record 5
Sc2Al3Zn2: computed powder X-ray diffraction pattern (a wavelength of 1.5418 Å), based on the GGA-PBE geometry in Alexandria.
Peak positions follow from Bragg's law for the DFT cell and can differ from measured ones.

Structure:
```
Sc2Al3Zn2
1.0
2.102 -9.124 0.000
2.102 9.124 0.000
0.000 0.000 6.766
Sc Al Zn
4 6 4
direct
0.041 0.959 0.750
0.156 0.844 0.250
0.844 0.156 0.750
0.959 0.041 0.250
0.217 0.783 0.750
0.436 0.564 0.564
0.436 0.564 0.936
0.564 0.436 0.064
0.564 0.436 0.436
0.783 0.217 0.250
0.307 0.693 0.053
0.307 0.693 0.447
0.693 0.307 0.553
0.693 0.307 0.947
```

Peak list (10 most intense, 2θ = 5–70°, by angle)
2theta	d/Å	intensity
9.69	9.124	100
32.27	2.774	32
34.38	2.609	94
35.16	2.552	68
37.18	2.418	44
39.51	2.281	33
42.30	2.137	45
43.03	2.102	55
44.83	2.022	48
63.88	1.457	31



Record 6
Sc2AlZn16: computed powder X-ray diffraction pattern (a wavelength of 1.5418 Å), based on the GGA-PBE geometry in Alexandria.
Peak positions follow from Bragg's law for the DFT cell and can differ from measured ones.

Structure:
```
Sc2AlZn16
1.0
4.439 2.563 4.350
-4.439 2.563 4.350
0.000 -5.126 4.350
Sc Al Zn
2 1 16
direct
0.000 0.000 0.000
0.333 0.333 0.333
0.765 0.765 0.765
0.021 0.021 0.503
0.021 0.503 0.021
0.169 0.666 0.666
0.313 0.313 0.833
0.313 0.833 0.313
0.361 0.667 0.973
0.361 0.973 0.667
0.503 0.021 0.021
0.565 0.565 0.565
0.666 0.169 0.666
0.666 0.666 0.169
0.667 0.361 0.973
0.667 0.973 0.361
0.833 0.313 0.313
0.973 0.361 0.667
0.973 0.667 0.361
```

Peak list (10 most intense, 2θ = 5–70°, by angle)
2theta	d/Å	intensity
20.00	4.439	38
35.01	2.563	23
36.11	2.487	16
40.65	2.220	46
40.87	2.208	100
41.53	2.174	43
41.84	2.159	17
45.90	1.977	94
46.50	1.953	24
66.78	1.401	16



Record 7
Zr5ScAl6: computed powder X-ray diffraction pattern (a wavelength of 1.5418 Å), based on the GGA-PBE geometry in Alexandria.
Peak positions follow from Bragg's law for the DFT cell and can differ from measured ones.

Structure:
```
Zr5ScAl6
1.0
-2.156 4.158 6.468
2.156 -4.158 6.468
2.156 4.158 -6.468
Zr Sc Al
5 1 6
direct
0.000 0.000 0.000
0.166 0.666 0.500
0.334 0.334 0.000
0.666 0.666 0.000
0.834 0.334 0.500
0.500 0.000 0.500
0.082 0.832 0.250
0.249 0.500 0.749
0.417 0.168 0.250
0.583 0.832 0.750
0.751 0.500 0.251
0.918 0.168 0.750
```

Peak list (10 most intense, 2θ = 5–70°, by angle)
2theta	d/Å	intensity
21.37	4.158	27
29.29	3.049	24
36.54	2.459	100
41.90	2.156	34
43.53	2.079	15
47.50	1.914	12
53.33	1.718	9
60.75	1.525	11
62.01	1.497	20
65.17	1.431	5



Record 8
ZrScAl2: computed powder X-ray diffraction pattern (a wavelength of 1.5418 Å), based on the GGA-PBE geometry in Alexandria.
Peak positions follow from Bragg's law for the DFT cell and can differ from measured ones.

Structure:
```
ZrScAl2
1.0
6.357 0.000 0.000
0.000 3.032 0.000
0.000 0.000 8.069
Zr Sc Al
2 2 4
direct
0.250 0.000 0.022
0.750 0.000 0.978
0.250 0.000 0.480
0.750 0.000 0.520
0.034 0.500 0.751
0.466 0.500 0.751
0.534 0.500 0.249
0.966 0.500 0.249
```

Peak list (10 most intense, 2θ = 5–70°, by angle)
2theta	d/Å	intensity
10.97	8.069	55
22.03	4.034	34
28.08	3.178	23
29.46	3.032	18
35.97	2.497	100
37.09	2.424	97
41.15	2.194	71
44.94	2.017	23
47.16	1.927	19
62.55	1.485	32



Record 9
Al5Se8: computed powder X-ray diffraction pattern (a wavelength of 1.5418 Å), based on the GGA-PBE geometry in Alexandria.
Peak positions follow from Bragg's law for the DFT cell and can differ from measured ones.

Structure:
```
Al5Se8
1.0
0.000 5.261 5.261
5.261 0.000 5.261
5.261 5.261 0.000
Al Se
5 8
direct
0.000 0.000 0.000
0.156 0.615 0.615
0.615 0.156 0.615
0.615 0.615 0.156
0.615 0.615 0.615
0.377 0.377 0.377
0.377 0.377 0.870
0.377 0.870 0.377
0.402 0.866 0.866
0.866 0.402 0.866
0.866 0.866 0.402
0.866 0.866 0.866
0.870 0.377 0.377
```

Peak list (10 most intense, 2θ = 5–70°, by angle)
2theta	d/Å	intensity
14.58	6.075	10
28.13	3.173	5
29.40	3.038	100
34.08	2.631	91
42.07	2.148	3
44.75	2.025	8
48.97	1.860	72
58.15	1.586	41
61.01	1.519	20
63.09	1.473	3



Record 10
Al4Se: computed powder X-ray diffraction pattern (a wavelength of 1.5418 Å), based on the GGA-PBE geometry in Alexandria.
Peak positions follow from Bragg's law for the DFT cell and can differ from measured ones.

Structure:
```
Al4Se
1.0
-1.848 1.848 7.092
1.848 -1.848 7.092
1.848 1.848 -7.092
Al Se
4 1
direct
0.098 0.098 0.000
0.250 0.750 0.500
0.750 0.250 0.500
0.902 0.902 0.000
0.500 0.500 0.000
```

Peak list (10 most intense, 2θ = 5–70°, by angle)
2theta	d/Å	intensity
12.48	7.092	25
25.11	3.546	25
30.70	2.912	63
34.31	2.614	17
36.64	2.452	100
40.07	2.250	60
49.31	1.848	32
51.43	1.777	16
59.21	1.560	19
65.34	1.428	28



Record 11
Al5Se: computed powder X-ray diffraction pattern (a wavelength of 1.5418 Å), based on the GGA-PBE geometry in Alexandria.
Peak positions follow from Bragg's law for the DFT cell and can differ from measured ones.

Structure:
```
Al5Se
1.0
5.067 0.000 0.000
-2.533 4.388 0.000
0.000 0.000 4.722
Al Se
5 1
direct
0.000 0.655 0.000
0.333 0.667 0.500
0.345 0.345 0.000
0.655 0.000 0.000
0.667 0.333 0.500
0.000 0.000 0.500
```

Peak list (10 most intense, 2θ = 5–70°, by angle)
2theta	d/Å	intensity
18.79	4.722	9
20.24	4.388	20
27.75	3.214	25
35.43	2.533	28
38.12	2.361	26
40.41	2.232	100
43.53	2.079	6
53.02	1.727	17
59.03	1.565	5
63.62	1.463	17



Record 12
AlTl2SiSe4: computed powder X-ray diffraction pattern (a wavelength of 1.5418 Å), based on the GGA-PBE geometry in Alexandria.
Peak positions follow from Bragg's law for the DFT cell and can differ from measured ones.

Structure:
```
AlTl2SiSe4
1.0
0.000 6.506 13.075
3.018 0.000 13.075
3.018 6.506 0.000
Al Tl Si Se
2 4 2 8
direct
0.125 0.125 0.125
0.875 0.875 0.875
0.017 0.017 0.733
0.267 0.267 0.983
0.733 0.733 0.017
0.983 0.983 0.267
0.375 0.375 0.375
0.625 0.625 0.625
0.013 0.333 0.441
0.287 0.559 0.667
0.333 0.013 0.713
0.441 0.713 0.013
0.559 0.287 0.987
0.667 0.987 0.287
0.713 0.441 0.333
0.987 0.667 0.559
```

Peak list (10 most intense, 2θ = 5–70°, by angle)
2theta	d/Å	intensity
16.54	5.359	27
19.14	4.636	31
23.52	3.782	35
24.58	3.621	28
25.52	3.491	40
27.31	3.266	100
28.93	3.086	80
30.68	2.914	42
35.55	2.525	33
39.07	2.305	43



Record 13
Sm6AlSe5: computed powder X-ray diffraction pattern (a wavelength of 1.5418 Å), based on the GGA-PBE geometry in Alexandria.
Peak positions follow from Bragg's law for the DFT cell and can differ from measured ones.

Structure:
```
Sm6AlSe5
1.0
3.652 -6.310 0.000
3.652 6.310 0.000
-2.419 0.000 6.874
Sm Al Se
6 1 5
direct
0.082 0.412 0.248
0.248 0.248 0.754
0.412 0.082 0.248
0.588 0.918 0.752
0.752 0.752 0.246
0.918 0.588 0.752
0.000 0.000 0.000
0.168 0.832 0.500
0.333 0.667 0.000
0.500 0.500 0.500
0.667 0.333 0.000
0.832 0.168 0.500
```

Peak list (10 most intense, 2θ = 5–70°, by angle)
2theta	d/Å	intensity
25.86	3.445	6
25.93	3.436	18
30.01	2.978	100
42.91	2.108	37
43.00	2.103	37
50.84	1.796	9
50.90	1.794	3
53.17	1.723	7
53.32	1.718	20
62.37	1.489	12



Record 14
Sm3AlSe2: computed powder X-ray diffraction pattern (a wavelength of 1.5418 Å), based on the GGA-PBE geometry in Alexandria.
Peak positions follow from Bragg's law for the DFT cell and can differ from measured ones.

Structure:
```
Sm3AlSe2
1.0
-2.048 2.991 6.550
2.048 -2.991 6.550
2.048 2.991 -6.550
Sm Al Se
3 1 2
direct
0.000 0.000 0.000
0.329 0.329 0.000
0.671 0.671 0.000
0.500 0.000 0.500
0.166 0.666 0.500
0.834 0.334 0.500
```

Peak list (10 most intense, 2θ = 5–70°, by angle)
2theta	d/Å	intensity
25.25	3.527	17
26.37	3.379	15
29.90	2.989	100
41.35	2.183	14
42.78	2.114	50
44.23	2.048	11
51.84	1.764	14
54.29	1.690	12
62.12	1.494	12
68.40	1.372	6